1.
Calculated powder diffractogram of Li2NdPCO7 for λ = 1.5418 Å (Cu Kα), from a cell relaxed with PBE.

Structure:
a b c (Å): 4.993 6.919 9.284
angles (deg): 90.00 93.15 90.00
Fractional positions:
Li 0.208 0.026 0.303
Li 0.208 0.474 0.303
Li 0.792 0.526 0.697
Li 0.792 0.974 0.697
Nd 0.257 0.250 0.875
Nd 0.743 0.750 0.125
P 0.259 0.750 0.897
P 0.741 0.250 0.103
C 0.259 0.250 0.568
C 0.741 0.750 0.432
O 0.030 0.250 0.630
O 0.116 0.568 0.835
O 0.116 0.932 0.835
O 0.243 0.750 0.067
O 0.277 0.250 0.432
O 0.436 0.250 0.128
O 0.477 0.250 0.657
O 0.523 0.750 0.343
O 0.564 0.750 0.872
O 0.723 0.750 0.568
O 0.757 0.250 0.933
O 0.884 0.068 0.165
O 0.884 0.432 0.165
O 0.970 0.750 0.370

Peak list (10 most intense, 10 to 90 degrees two-theta, by angle)
2θ = 15.98°, d 5.545, rel. 79; 2θ = 19.75°, d 4.495, rel. 50; 2θ = 20.69°, d 4.293, rel. 41; 2θ = 21.98°, d 4.045, rel. 81; 2θ = 25.51°, d 3.492, rel. 63; 2θ = 25.75°, d 3.459, rel. 100; 2θ = 26.98°, d 3.305, rel. 43; 2θ = 32.66°, d 2.741, rel. 30; 2θ = 38.86°, d 2.318, rel. 31; 2θ = 44.17°, d 2.051, rel. 42


2.
Calculated powder diffractogram of Li2CO3 for λ = 1.5418 Å (Cu Kα), from a cell relaxed with PBE.

Structure:
a b c (Å): 4.653 4.653 5.383
angles (deg): 90.00 90.00 120.00
Fractional positions:
Li 0.333 0.667 0.000
Li 0.333 0.667 0.500
Li 0.667 0.333 0.000
Li 0.667 0.333 0.500
C 0.000 0.000 0.250
C 0.000 0.000 0.750
O 0.000 0.280 0.250
O 0.000 0.720 0.750
O 0.280 0.000 0.250
O 0.280 0.280 0.750
O 0.720 0.000 0.750
O 0.720 0.720 0.250

Peak list (10 most intense, 10 to 90 degrees two-theta, by angle)
2θ = 22.06°, d 4.030, rel. 71; 2θ = 33.29°, d 2.691, rel. 64; 2θ = 40.29°, d 2.238, rel. 54; 2θ = 42.32°, d 2.136, rel. 100; 2θ = 51.95°, d 1.760, rel. 17; 2θ = 63.47°, d 1.466, rel. 16; 2θ = 65.72°, d 1.421, rel. 17; 2θ = 69.90°, d 1.346, rel. 8; 2θ = 70.04°, d 1.343, rel. 15; 2θ = 83.19°, d 1.161, rel. 6


3.
Calculated powder diffractogram of Li2CO3 for λ = 1.5418 Å (Cu Kα), from a cell relaxed with PBE.

Structure:
a b c (Å): 4.907 4.907 6.348
angles (deg): 110.62 110.62 61.86
Fractional positions:
Li 0.148 0.250 0.339
Li 0.250 0.148 0.839
Li 0.750 0.852 0.161
Li 0.852 0.750 0.661
C 0.435 0.565 0.250
C 0.565 0.435 0.750
O 0.180 0.820 0.250
O 0.288 0.418 0.685
O 0.418 0.288 0.185
O 0.582 0.712 0.815
O 0.712 0.582 0.315
O 0.820 0.180 0.750

Peak list (10 most intense, 10 to 90 degrees two-theta, by angle)
2θ = 21.07°, d 4.216, rel. 71; 2θ = 28.88°, d 3.092, rel. 24; 2θ = 30.09°, d 2.970, rel. 78; 2θ = 30.90°, d 2.894, rel. 100; 2θ = 33.37°, d 2.685, rel. 29; 2θ = 35.60°, d 2.522, rel. 16; 2θ = 36.66°, d 2.451, rel. 39; 2θ = 38.95°, d 2.312, rel. 15; 2θ = 47.89°, d 1.899, rel. 20; 2θ = 58.18°, d 1.586, rel. 22


4.
Calculated powder diffractogram of LiC2O2 for λ = 1.5418 Å (Cu Kα), from a cell relaxed with PBE.

Structure:
a b c (Å): 6.039 6.039 3.380
angles (deg): 97.17 97.17 106.24
Fractional positions:
Li 0.147 0.853 0.000
Li 0.853 0.147 0.000
C 0.361 0.361 0.335
C 0.392 0.608 0.500
C 0.608 0.392 0.500
C 0.639 0.639 0.665
O 0.193 0.193 0.137
O 0.261 0.739 0.500
O 0.739 0.261 0.500
O 0.807 0.807 0.863

Peak list (10 most intense, 10 to 90 degrees two-theta, by angle)
2θ = 15.50°, d 5.716, rel. 28; 2θ = 18.37°, d 4.831, rel. 19; 2θ = 25.12°, d 3.545, rel. 16; 2θ = 26.97°, d 3.307, rel. 12; 2θ = 28.84°, d 3.096, rel. 100; 2θ = 31.30°, d 2.858, rel. 46; 2θ = 32.82°, d 2.729, rel. 14; 2θ = 32.98°, d 2.716, rel. 20; 2θ = 37.22°, d 2.415, rel. 12; 2θ = 42.95°, d 2.106, rel. 11


5.
Calculated powder diffractogram of LiPrPCO7 for λ = 1.5418 Å (Cu Kα), from a cell relaxed with PBE.

Structure:
a b c (Å): 4.942 7.089 9.490
angles (deg): 90.00 94.82 90.00
Fractional positions:
Li 0.250 0.000 0.225
Li 0.750 0.500 0.775
Pr 0.262 0.168 0.628
Pr 0.738 0.668 0.372
P 0.228 0.666 0.604
P 0.772 0.166 0.396
C 0.221 0.228 0.940
C 0.779 0.728 0.060
O 0.023 0.265 0.846
O 0.081 0.127 0.388
O 0.187 0.175 0.064
O 0.259 0.682 0.439
O 0.314 0.852 0.677
O 0.394 0.496 0.663
O 0.460 0.241 0.897
O 0.540 0.741 0.103
O 0.606 0.996 0.337
O 0.686 0.352 0.323
O 0.741 0.182 0.561
O 0.813 0.675 0.936
O 0.919 0.627 0.612
O 0.977 0.765 0.154

Peak list (10 most intense, 10 to 90 degrees two-theta, by angle)
2θ = 15.62°, d 5.672, rel. 80; 2θ = 19.61°, d 4.527, rel. 53; 2θ = 21.03°, d 4.225, rel. 58; 2θ = 21.98°, d 4.045, rel. 83; 2θ = 24.99°, d 3.564, rel. 65; 2θ = 25.12°, d 3.544, rel. 100; 2θ = 26.86°, d 3.319, rel. 40; 2θ = 27.22°, d 3.276, rel. 42; 2θ = 37.37°, d 2.406, rel. 54; 2θ = 44.79°, d 2.023, rel. 48


6.
Calculated powder diffractogram of Li2SbPCO7 for λ = 1.5418 Å (Cu Kα), from a cell relaxed with PBE.

Structure:
a b c (Å): 5.146 6.989 8.845
angles (deg): 90.00 96.86 90.00
Fractional positions:
Li 0.231 0.000 0.097
Li 0.246 0.315 0.723
Li 0.754 0.815 0.277
Li 0.769 0.500 0.903
Sb 0.210 0.482 0.326
Sb 0.790 0.982 0.674
P 0.284 0.997 0.405
P 0.716 0.497 0.595
C 0.315 0.493 0.031
C 0.685 0.993 0.969
O 0.069 0.485 0.058
O 0.140 0.833 0.311
O 0.192 0.034 0.562
O 0.239 0.175 0.295
O 0.387 0.461 0.901
O 0.417 0.450 0.568
O 0.490 0.531 0.149
O 0.510 0.031 0.851
O 0.583 0.950 0.432
O 0.613 0.961 0.099
O 0.761 0.675 0.705
O 0.808 0.534 0.438
O 0.860 0.333 0.689
O 0.931 0.985 0.942

Peak list (10 most intense, 10 to 90 degrees two-theta, by angle)
2θ = 10.07°, d 8.782, rel. 77; 2θ = 16.21°, d 5.469, rel. 69; 2θ = 19.02°, d 4.665, rel. 60; 2θ = 21.13°, d 4.204, rel. 72; 2θ = 21.54°, d 4.125, rel. 52; 2θ = 25.11°, d 3.546, rel. 42; 2θ = 25.49°, d 3.495, rel. 100; 2θ = 33.35°, d 2.687, rel. 25; 2θ = 39.43°, d 2.286, rel. 27; 2θ = 40.04°, d 2.252, rel. 27


7.
Calculated powder diffractogram of Li2SbPCO7 for λ = 1.5418 Å (Cu Kα), from a cell relaxed with PBE.

Structure:
a b c (Å): 5.085 6.691 9.312
angles (deg): 90.00 92.91 90.00
Fractional positions:
Li 0.234 0.044 0.205
Li 0.234 0.456 0.205
Li 0.766 0.544 0.795
Li 0.766 0.956 0.795
Sb 0.180 0.250 0.628
Sb 0.820 0.750 0.372
P 0.255 0.750 0.625
P 0.745 0.250 0.375
C 0.215 0.250 0.913
C 0.785 0.750 0.087
O 0.008 0.750 0.172
O 0.101 0.566 0.680
O 0.101 0.934 0.680
O 0.205 0.250 0.048
O 0.228 0.750 0.454
O 0.430 0.250 0.843
O 0.456 0.250 0.325
O 0.544 0.750 0.675
O 0.570 0.750 0.157
O 0.772 0.250 0.546
O 0.795 0.750 0.952
O 0.899 0.066 0.320
O 0.899 0.434 0.320
O 0.992 0.250 0.828

Peak list (10 most intense, 10 to 90 degrees two-theta, by angle)
2θ = 16.32°, d 5.432, rel. 43; 2θ = 17.46°, d 5.078, rel. 22; 2θ = 19.49°, d 4.555, rel. 62; 2θ = 21.97°, d 4.045, rel. 40; 2θ = 25.31°, d 3.520, rel. 29; 2θ = 26.64°, d 3.346, rel. 100; 2θ = 28.80°, d 3.100, rel. 17; 2θ = 33.22°, d 2.697, rel. 19; 2θ = 37.07°, d 2.425, rel. 20; 2θ = 38.72°, d 2.326, rel. 21


8.
Calculated powder diffractogram of Li2ScPCO7 for λ = 1.5418 Å (Cu Kα), from a cell relaxed with PBE.

Structure:
a b c (Å): 5.023 6.577 8.604
angles (deg): 90.00 90.95 90.00
Fractional positions:
Li 0.225 0.002 0.281
Li 0.225 0.498 0.281
Li 0.775 0.502 0.719
Li 0.775 0.998 0.719
Sc 0.225 0.250 0.850
Sc 0.775 0.750 0.150
P 0.286 0.750 0.920
P 0.714 0.250 0.080
C 0.263 0.250 0.552
C 0.737 0.750 0.448
O 0.030 0.250 0.618
O 0.182 0.560 0.834
O 0.182 0.940 0.834
O 0.191 0.750 0.093
O 0.294 0.250 0.406
O 0.403 0.250 0.073
O 0.468 0.250 0.651
O 0.532 0.750 0.349
O 0.597 0.750 0.927
O 0.706 0.750 0.594
O 0.809 0.250 0.907
O 0.818 0.060 0.166
O 0.818 0.440 0.166
O 0.970 0.750 0.382

Peak list (10 most intense, 10 to 90 degrees two-theta, by angle)
2θ = 10.28°, d 8.603, rel. 95; 2θ = 16.97°, d 5.225, rel. 23; 2θ = 20.33°, d 4.369, rel. 22; 2θ = 20.63°, d 4.306, rel. 21; 2θ = 24.71°, d 3.602, rel. 30; 2θ = 27.10°, d 3.290, rel. 100; 2θ = 27.53°, d 3.240, rel. 13; 2θ = 35.77°, d 2.510, rel. 22; 2θ = 42.01°, d 2.151, rel. 13; 2θ = 50.71°, d 1.800, rel. 14